Pm2In2Se5: calculated XRD peak list (Cu Kα X-rays), based on the GGA-PBE geometry in Alexandria.
Kinematic intensities with the Lorentz-polarization factor, no thermal factor.

Structure:
Lattice parameters (Å, degrees): 14.7330 4.6540 9.4535 90.00 122.85 90.00
Space group C2/m (No. 12)
Asymmetric unit:
Pm (0.1189, 0.0000, 0.4772) (multiplicity 4)
In (0.1343, 0.5000, 0.9820) (multiplicity 4)
Se (0.0000, 0.5000, 0.5000) (multiplicity 2)
Se (0.1225, 0.0000, 0.8120) (multiplicity 4)
Se (0.1453, 0.5000, 0.2936) (multiplicity 4)

Principal peaks in the range 2θ = 10–80°, most intense first:
- 2θ = 34.54°, I = 100.0
- 2θ = 21.31°, I = 71.7
- 2θ = 28.85°, I = 59.1
- 2θ = 38.69°, I = 42.3
- 2θ = 37.07°, I = 37.2
- 2θ = 43.25°, I = 36.1
- 2θ = 35.21°, I = 30.9
- 2θ = 48.98°, I = 26.9
- 2θ = 67.37°, I = 26.5
- 2θ = 22.39°, I = 23.3